No. 1
Simulated powder XRD pattern
Compound: HoAsS
Radiation: Cu Kα (λ = 1.5418 Å)
Structure: a crystal structure in the Materials Project, relaxed with GGA-PBE
Lines closer than 0.1° are merged.

Crystal structure
```
data_HoAsS
_chemical_formula_sum 'Ho4 As4 S4'
_space_group_name_H-M_alt 'P 1'
_space_group_IT_number 1
_space_group_name_Hall 'P 1'
_cell_length_a 16.9675
_cell_length_b 3.8126
_cell_length_c 3.8292
_cell_angle_alpha 90.00
_cell_angle_beta 90.00
_cell_angle_gamma 90.00
loop_
_atom_site_label
_atom_site_fract_x
_atom_site_fract_y
_atom_site_fract_z
Ho1 0.1457 0.2500 0.2185
Ho2 0.3543 0.7500 0.7185
Ho3 0.6457 0.2500 0.2815
Ho4 0.8543 0.7500 0.7815
As1 0.0018 0.2500 0.7200
As2 0.4982 0.7500 0.2200
As3 0.5018 0.2500 0.7800
As4 0.9982 0.7500 0.2800
S1 0.1870 0.7500 0.7187
S2 0.3130 0.2500 0.2187
S3 0.6870 0.7500 0.7813
S4 0.8130 0.2500 0.2813
```

The 6 most intense peaks (2θ = 10–90°), by angle:
| 2θ (°) | d (Å) | Rel. int. |
| --- | --- | --- |
| 25.57 | 3.484 | 97 |
| 31.64 | 2.828 | 38 |
| 33.16 | 2.702 | 19 |
| 34.85 | 2.574 | 50 |
| 39.56 | 2.278 | 100 |
| 47.71 | 1.906 | 19 |

***

No. 2
Simulated powder XRD pattern
Compound: CaH12CO9
Radiation: Cu Kα (λ = 1.5418 Å)
Structure: a crystal structure in the Materials Project, relaxed with GGA-PBE
Lines closer than 0.1° are merged.

Crystal structure
```
data_CaH12CO9
_chemical_formula_sum 'Ca2 H24 C2 O18'
_space_group_name_H-M_alt 'P 1'
_space_group_IT_number 1
_space_group_name_Hall 'P 1'
_cell_length_a 6.0754
_cell_length_b 6.0754
_cell_length_c 10.9861
_cell_angle_alpha 103.74
_cell_angle_beta 103.74
_cell_angle_gamma 86.56
loop_
_atom_site_label
_atom_site_fract_x
_atom_site_fract_y
_atom_site_fract_z
Ca1 0.1415 0.8585 0.7500
Ca2 0.8585 0.1415 0.2500
H1 0.1003 0.3389 0.6433
H2 0.1197 0.7416 0.0009
H3 0.1800 0.5139 0.9068
H4 0.2225 0.3955 0.4735
H5 0.2584 0.8803 0.4991
H6 0.2735 0.4634 0.3502
H7 0.3389 0.1003 0.1433
H8 0.3625 0.3873 0.6671
H9 0.3873 0.3625 0.1671
H10 0.3955 0.2225 0.9735
H11 0.4634 0.2735 0.8502
H12 0.4861 0.8200 0.5932
H13 0.5139 0.1800 0.4068
H14 0.5366 0.7265 0.1498
H15 0.6045 0.7775 0.0265
H16 0.6127 0.6375 0.8329
H17 0.6375 0.6127 0.3329
H18 0.6611 0.8997 0.8567
H19 0.7265 0.5366 0.6498
H20 0.7416 0.1197 0.5009
H21 0.7775 0.6045 0.5265
H22 0.8200 0.4861 0.0932
H23 0.8803 0.2584 0.9991
H24 0.8997 0.6611 0.3567
C1 0.2030 0.7970 0.2500
C2 0.7970 0.2030 0.7500
O1 0.0932 0.8475 0.3414
O2 0.1027 0.6625 0.9087
O3 0.1525 0.9068 0.1586
O4 0.2096 0.4474 0.6347
O5 0.2390 0.3341 0.3832
O6 0.3341 0.2390 0.8832
O7 0.3375 0.8973 0.5913
O8 0.3589 0.6411 0.2500
O9 0.4474 0.2096 0.1347
O10 0.5526 0.7904 0.8653
O11 0.6411 0.3589 0.7500
O12 0.6625 0.1027 0.4087
O13 0.6659 0.7610 0.1168
O14 0.7610 0.6659 0.6168
O15 0.7904 0.5526 0.3653
O16 0.8475 0.0932 0.8414
O17 0.8973 0.3375 0.0913
O18 0.9068 0.1525 0.6586
```

The 6 most intense peaks (2θ = 10–90°), by angle:
| 2θ (°) | d (Å) | Rel. int. |
| --- | --- | --- |
| 17.08 | 5.192 | 100 |
| 21.26 | 4.179 | 39 |
| 31.55 | 2.836 | 60 |
| 33.92 | 2.643 | 55 |
| 34.21 | 2.621 | 74 |
| 40.87 | 2.208 | 35 |